1.
Starting from a cell relaxed with PBE, the powder diffraction line list of Tb4Y4Sc3 was calculated for Cu Kα.
No peak broadening, texture or thermal motion is included.

Largest 10 diffraction maxima, sorted by position, 2θ = 10–80°:
hkl, Position (°2θ), Rel. int.
0 1 -1, 17.84, 370
1 0 0, 26.13, 329
1 0 4, 31.70, 210
0 2 1, 32.50, 1000
0 1 6, 32.61, 885
1 1 6, 40.39, 182
1 2 1, 42.21, 185
1 1 -5, 44.06, 179
0 3 -4, 58.05, 193
2 2 2, 64.05, 371

Cell and atoms:
Cell: 3.4263 5.5022 17.7245 Å, 81.10 84.46 90.00°
Space group P-1 (No. 2)
Unique sites:
Tb 0.0452 0.0447 0.4090 x2
Tb 0.1777 0.6782 0.1435 x2
Y 0.0887 0.5882 0.3219 x2
Y 0.2314 0.2312 0.0377 x2
Sc 0.3652 0.8652 0.7704 x2
Sc 0.5000 0.5000 0.5000 x1



2.
Starting from a cell relaxed with PBE, the powder diffraction line list of Tb6Y3Sc2 was calculated for Cu Kα.
No peak broadening, texture or thermal motion is included.

Largest 10 diffraction maxima, sorted by position, 2θ = 10–80°:
hkl, Position (°2θ), Rel. int.
0 0 2, 16.09, 301
2 0 0, 29.74, 223
1 3 1, 31.22, 1000
0 0 4, 32.51, 279
2 0 2, 36.59, 635
0 6 0, 51.84, 240
2 0 -6, 53.56, 189
4 0 0, 61.76, 139
0 6 4, 62.51, 167
4 0 -4, 65.11, 116

Cell and atoms:
Cell: 6.1084 10.5850 11.2057 Å, 90.00 100.58 90.00°
Space group C2/m (No. 12)
Unique sites:
Tb 0.2447 0.0000 0.2370 x4
Tb 0.2459 0.3330 0.2370 x8
Y 0.0000 0.0000 0.5000 x2
Y 0.0000 0.3342 0.5000 x4
Sc 0.0000 0.1664 0.0000 x4